Starting from a DFT-relaxed cell (GGA+U, the Materials Project), the X-ray diffraction stick pattern of CoH12Br2O6 was calculated for Cu Kα (weighted mean of Kα1 and Kα2).

Peak list (6 most intense, 2θ = 15–90°, by angle)
- 15.29 deg, I = 66
- 17.49 deg, I = 100
- 24.66 deg, I = 41
- 29.03 deg, I = 74
- 32.39 deg, I = 39
- 46.22 deg, I = 49

Crystal structure
```
CoH12Br2O6
1.0
5.534 -3.610 0.000
5.534 3.610 0.000
-4.179 0.000 5.795
Co H Br O
1 12 2 6
direct
0.000 0.000 0.000 Co
0.191 0.191 0.550 H
0.195 0.584 0.732 H
0.216 0.693 0.219 H
0.269 0.269 0.821 H
0.307 0.784 0.781 H
0.416 0.805 0.268 H
0.584 0.195 0.732 H
0.693 0.216 0.219 H
0.731 0.731 0.179 H
0.784 0.307 0.781 H
0.805 0.416 0.268 H
0.809 0.809 0.450 H
0.284 0.284 0.157 Br
0.716 0.716 0.843 Br
0.159 0.756 0.756 O
0.244 0.841 0.244 O
0.289 0.289 0.701 O
0.711 0.711 0.299 O
0.756 0.159 0.756 O
0.841 0.244 0.244 O
```